1.
Structure and calculated XRD peak list of Ac2PmHoEr (a DFT-relaxed cell (PBE, Alexandria); Cu Kα (weighted mean of Kα1 and Kα2)).
Peak positions follow from Bragg's law for the DFT cell and can differ from measured ones.

Largest 10 diffraction maxima, in order of rising 2θ, 15° ≤ 2θ ≤ 90°:
d (Å)	intensity	hkl
3.230	100	1 2 1
3.211	26	2 0 0
3.119	31	0 1 2
2.806	19	1 1 2
2.754	22	2 1 1
2.677	20	0 2 2
2.524	27	1 3 1
2.309	21	2 0 2
2.086	18	2 3 1
1.858	21	3 2 1

Atomic structure:
Cell lengths 6.4220, 9.0410, 6.6458 Å; angles 90.00, 90.00, 90.00 degrees
Space group Pmma (No. 51)
Symmetry-distinct sites (fractional):
Ac: 0.2500 0.2024 0.2124 x4
Pm: 0.2500 0.5000 0.9211 x2
Ho: 0.2500 0.0000 0.6851 x2
Er: 0.0000 0.5000 0.5000 x2

***

2.
Structure and calculated XRD peak list of CaPm2Pt (a DFT-relaxed cell (PBE, Alexandria); Cu Kα (weighted mean of Kα1 and Kα2)).
Peak positions follow from Bragg's law for the DFT cell and can differ from measured ones.

Largest 10 diffraction maxima, in order of rising 2θ, 15° ≤ 2θ ≤ 90°:
d (Å)	intensity	hkl
5.653	45	1 1 0
4.525	100	1 1 1
3.614	81	2 1 1
3.082	42	3 1 0
2.782	96	2 1 2
2.554	73	3 0 2
2.513	88	0 2 2
2.443	46	1 2 2
2.416	74	3 2 0
1.886	47	0 0 4

Atomic structure:
Cell lengths 10.4031, 6.7347, 7.5495 Å; angles 90.00, 90.00, 90.00 degrees
Space group Pbcm (No. 57)
Symmetry-distinct sites (fractional):
Ca: 0.1258 0.2375 0.2500 x4
Pm: 0.1955 0.7500 0.0000 x4
Pm: 0.4553 0.2500 0.0000 x4
Pt: 0.3551 0.5448 0.7500 x4

***

3.
Structure and calculated XRD peak list of Y3Al2Zn7 (a DFT-relaxed cell (PBE, Alexandria); Cu Kα (weighted mean of Kα1 and Kα2)).
Peak positions follow from Bragg's law for the DFT cell and can differ from measured ones.

Largest 10 diffraction maxima, in order of rising 2θ, 15° ≤ 2θ ≤ 90°:
d (Å)	intensity	hkl
2.887	25	1 1 2
2.716	24	1 1 4
2.488	100	1 1 6
2.480	33	1 0 9
2.248	35	1 1 8
2.087	65	2 0 0
1.550	19	2 0 12
1.476	20	2 2 0
1.367	20	1 1 18
1.269	25	3 1 6

Atomic structure:
Cell lengths 4.1749, 4.1749, 27.7529 Å; angles 90.00, 90.00, 90.00 degrees
Space group I4/mmm (No. 139)
Symmetry-distinct sites (fractional):
Y: 0.0000 0.0000 0.0000 x2
Y: 0.0000 0.0000 0.1653 x4
Al: 0.0000 0.0000 0.3664 x4
Zn: 0.0000 0.0000 0.2747 x4
Zn: 0.0000 0.0000 0.5000 x2
Zn: 0.0000 0.5000 0.0779 x8

***

4.
Structure and calculated XRD peak list of TbZn3Ni8 (a DFT-relaxed cell (PBE, Alexandria); Cu Kα (weighted mean of Kα1 and Kα2)).
Peak positions follow from Bragg's law for the DFT cell and can differ from measured ones.

Largest 10 diffraction maxima, in order of rising 2θ, 15° ≤ 2θ ≤ 90°:
d (Å)	intensity	hkl
2.858	20	0 1 2
2.406	44	1 1 0
2.216	83	1 0 3
2.084	14	2 0 0
2.052	100	1 1 2
2.014	82	2 0 1
1.350	30	2 1 3
1.310	25	0 3 2
1.254	25	0 2 5
1.203	25	2 2 0

Atomic structure:
Cell lengths 4.8126, 4.8126, 7.8517 Å; angles 90.00, 90.00, 120.00 degrees
Space group P3m1 (No. 156)
Symmetry-distinct sites (fractional):
Tb: 0.0000 0.0000 0.0000 x1
Zn: 0.0000 0.0000 0.3884 x1
Zn: 0.6667 0.3333 0.4853 x1
Zn: 0.6667 0.3333 0.8348 x1
Ni: 0.1651 0.3303 0.6750 x3
Ni: 0.3333 0.6667 0.4305 x1
Ni: 0.3333 0.6667 0.9295 x1
Ni: 0.5026 0.0051 0.1905 x3